1.
Structure and calculated X-ray diffraction stick pattern of Tm3Mg7 (a structure optimized by DFT (PBE); Cu Kα X-rays).
Lines closer than 0.1° are merged.

Cell and atoms:
```
data_Tm3Mg7
_chemical_formula_sum 'Tm6 Mg14'
_cell_length_a 15.8921
_cell_length_b 5.1348
_cell_length_c 6.4439
_cell_angle_alpha 90.00
_cell_angle_beta 107.77
_cell_angle_gamma 90.00
_symmetry_space_group_name_H-M 'C 1 2/m 1'
_symmetry_Int_Tables_number 12
_symmetry_space_group_name_Hall '-C 2y'
loop_
_atom_site_label
_atom_site_fract_x
_atom_site_fract_y
_atom_site_fract_z
Tm1 0.0000 0.0000 0.0000
Tm2 0.2052 0.0000 0.8026
Mg1 0.0000 0.0000 0.5000
Mg2 0.0932 0.5000 0.8716
Mg3 0.1054 0.5000 0.3842
Mg4 0.2005 0.0000 0.3070
```

Peak list (10 most intense, 2θ = 5–70°, in order of rising 2θ)
| 2theta | d_spacing | I/Imax | h k l |
| --- | --- | --- | --- |
| 14.43 | 6.136 | 43 | 0 0 1 |
| 18.24 | 4.863 | 46 | 1 1 0 |
| 23.55 | 3.778 | 68 | 4 0 -1 |
| 24.45 | 3.641 | 89 | 1 1 1 |
| 34.02 | 2.635 | 100 | 3 1 -2 |
| 34.39 | 2.607 | 95 | 5 1 0 |
| 34.74 | 2.582 | 46 | 2 0 2 |
| 34.95 | 2.567 | 46 | 0 2 0 |
| 50.10 | 1.821 | 33 | 2 2 2 |
| 62.31 | 1.490 | 33 | 5 3 0 |

2.
Structure and calculated X-ray diffraction stick pattern of TmMg4 (a structure optimized by DFT (PBE); Cu Kα X-rays).
Lines closer than 0.1° are merged.

Cell and atoms:
```
data_TmMg4
_chemical_formula_sum 'Tm2 Mg8'
_cell_length_a 3.3347
_cell_length_b 3.3347
_cell_length_c 21.9465
_cell_angle_alpha 90.00
_cell_angle_beta 90.00
_cell_angle_gamma 90.00
_symmetry_space_group_name_H-M 'I 4/m m m'
_symmetry_Int_Tables_number 139
_symmetry_space_group_name_Hall '-I 4 2'
loop_
_atom_site_label
_atom_site_fract_x
_atom_site_fract_y
_atom_site_fract_z
Tm1 0.0000 0.0000 0.0000
Mg1 0.0000 0.0000 0.2021
Mg2 0.0000 0.0000 0.3929
```

Peak list (10 most intense, 2θ = 5–70°, in order of rising 2θ)
| 2theta | d_spacing | I/Imax | h k l |
| --- | --- | --- | --- |
| 8.06 | 10.973 | 100 | 0 0 2 |
| 16.15 | 5.487 | 24 | 0 0 4 |
| 24.33 | 3.658 | 11 | 0 0 6 |
| 27.05 | 3.297 | 30 | 1 0 1 |
| 29.44 | 3.034 | 27 | 1 0 3 |
| 33.76 | 2.655 | 62 | 1 0 5 |
| 38.17 | 2.358 | 22 | 1 1 0 |
| 39.07 | 2.305 | 11 | 1 1 2 |
| 57.35 | 1.606 | 13 | 1 1 10 |
| 66.18 | 1.412 | 17 | 2 1 5 |

3.
Structure and calculated X-ray diffraction stick pattern of Tm2Mg3 (a structure optimized by DFT (PBE); Cu Kα X-rays).
Lines closer than 0.1° are merged.

Cell and atoms:
```
data_Tm2Mg3
_chemical_formula_sum 'Tm4 Mg6'
_cell_length_a 3.7162
_cell_length_b 3.7162
_cell_length_c 18.5792
_cell_angle_alpha 90.00
_cell_angle_beta 90.00
_cell_angle_gamma 90.00
_symmetry_space_group_name_H-M 'P 4/m m m'
_symmetry_Int_Tables_number 123
_symmetry_space_group_name_Hall '-P 4 2'
loop_
_atom_site_label
_atom_site_fract_x
_atom_site_fract_y
_atom_site_fract_z
Tm1 0.0000 0.0000 0.1016
Tm2 0.0000 0.0000 0.3015
Mg1 0.0000 0.0000 0.5000
Mg2 0.5000 0.5000 0.0000
Mg3 0.5000 0.5000 0.2016
Mg4 0.5000 0.5000 0.4089
```

Peak list (10 most intense, 2θ = 5–70°, in order of rising 2θ)
| 2theta | d_spacing | I/Imax | h k l |
| --- | --- | --- | --- |
| 9.52 | 9.290 | 9 | 0 0 2 |
| 23.95 | 3.716 | 58 | 0 0 5 |
| 24.43 | 3.644 | 4 | 1 0 1 |
| 25.82 | 3.450 | 4 | 1 0 2 |
| 30.81 | 2.902 | 4 | 1 0 4 |
| 34.12 | 2.628 | 100 | 1 1 0 |
| 42.12 | 2.145 | 18 | 1 1 5 |
| 49.03 | 1.858 | 18 | 2 0 0 |
| 55.28 | 1.662 | 25 | 1 0 10 |
| 61.08 | 1.517 | 37 | 2 1 5 |

4.
Structure and calculated X-ray diffraction stick pattern of Tm5Mg (a structure optimized by DFT (PBE); Cu Kα X-rays).
Lines closer than 0.1° are merged.

Cell and atoms:
```
data_Tm5Mg
_chemical_formula_sum 'Tm15 Mg3'
_cell_length_a 6.0391
_cell_length_b 6.0391
_cell_length_c 16.5057
_cell_angle_alpha 90.00
_cell_angle_beta 90.00
_cell_angle_gamma 120.00
_symmetry_space_group_name_H-M 'R 3 2'
_symmetry_Int_Tables_number 155
_symmetry_space_group_name_Hall 'R 3 2"'
loop_
_atom_site_label
_atom_site_fract_x
_atom_site_fract_y
_atom_site_fract_z
Tm1 0.0000 0.0000 0.1674
Tm2 0.0000 0.6629 0.0000
Mg1 0.0000 0.0000 0.5000
```

Peak list (10 most intense, 2θ = 5–70°, in order of rising 2θ)
| 2theta | d_spacing | I/Imax | h k l |
| --- | --- | --- | --- |
| 17.79 | 4.986 | 8 | 1 0 1 |
| 20.10 | 4.418 | 7 | 0 1 2 |
| 29.58 | 3.020 | 25 | 1 1 0 |
| 32.55 | 2.751 | 24 | 0 0 6 |
| 33.86 | 2.647 | 100 | 1 1 3 |
| 44.56 | 2.034 | 17 | 1 1 6 |
| 52.49 | 1.743 | 19 | 3 0 0 |
| 58.92 | 1.567 | 21 | 1 1 9 |
| 63.14 | 1.473 | 22 | 3 0 6 |
| 63.94 | 1.456 | 16 | 2 2 3 |

5.
Structure and calculated X-ray diffraction stick pattern of Tm3Mg2 (a structure optimized by DFT (PBE); Cu Kα X-rays).
Lines closer than 0.1° are merged.

Cell and atoms:
```
data_Tm3Mg2
_chemical_formula_sum 'Tm6 Mg4'
_cell_length_a 3.5733
_cell_length_b 3.5733
_cell_length_c 21.4329
_cell_angle_alpha 90.00
_cell_angle_beta 90.00
_cell_angle_gamma 90.00
_symmetry_space_group_name_H-M 'P 4/m m m'
_symmetry_Int_Tables_number 123
_symmetry_space_group_name_Hall '-P 4 2'
loop_
_atom_site_label
_atom_site_fract_x
_atom_site_fract_y
_atom_site_fract_z
Tm1 0.0000 0.0000 0.0000
Tm2 0.0000 0.0000 0.1897
Tm3 0.0000 0.0000 0.3888
Tm4 0.5000 0.5000 0.5000
Mg1 0.5000 0.5000 0.0949
Mg2 0.5000 0.5000 0.2876
```

Peak list (10 most intense, 2θ = 5–70°, in order of rising 2θ)
| 2theta | d_spacing | I/Imax | h k l |
| --- | --- | --- | --- |
| 20.72 | 4.287 | 19 | 0 0 5 |
| 24.92 | 3.573 | 33 | 1 0 0 |
| 32.62 | 2.745 | 100 | 1 0 5 |
| 35.53 | 2.527 | 44 | 1 1 0 |
| 41.48 | 2.177 | 13 | 1 1 5 |
| 42.16 | 2.143 | 10 | 0 0 10 |
| 51.12 | 1.787 | 15 | 2 0 0 |
| 56.28 | 1.634 | 17 | 1 1 10 |
| 61.98 | 1.497 | 33 | 2 1 5 |
| 68.35 | 1.372 | 9 | 2 0 10 |

6.
Structure and calculated X-ray diffraction stick pattern of YTm7Mg4 (a structure optimized by DFT (PBE); Cu Kα X-rays).
Lines closer than 0.1° are merged.

Cell and atoms:
```
data_YTm7Mg4
_chemical_formula_sum 'Y2 Tm14 Mg8'
_cell_length_a 13.6070
_cell_length_b 5.6178
_cell_length_c 11.0878
_cell_angle_alpha 90.00
_cell_angle_beta 123.69
_cell_angle_gamma 90.00
_symmetry_space_group_name_H-M 'C 1 2/m 1'
_symmetry_Int_Tables_number 12
_symmetry_space_group_name_Hall '-C 2y'
loop_
_atom_site_label
_atom_site_fract_x
_atom_site_fract_y
_atom_site_fract_z
Y1 0.0000 0.0000 0.0000
Tm1 0.0000 0.5000 0.0000
Tm2 0.0563 0.0000 0.3835
Tm3 0.1767 0.5000 0.6172
Tm4 0.2210 0.0000 0.8814
Mg1 0.0630 0.5000 0.7815
Mg2 0.1871 0.5000 0.3366
```

Peak list (10 most intense, 2θ = 5–70°, in order of rising 2θ)
| 2theta | d_spacing | I/Imax | h k l |
| --- | --- | --- | --- |
| 22.71 | 3.915 | 100 | 1 1 -2 |
| 27.36 | 3.260 | 62 | 4 0 -1 |
| 28.66 | 3.114 | 40 | 4 0 -3 |
| 29.31 | 3.047 | 54 | 1 1 2 |
| 29.91 | 2.987 | 61 | 3 1 -3 |
| 31.86 | 2.809 | 84 | 0 2 0 |
| 34.20 | 2.621 | 76 | 3 1 1 |
| 37.43 | 2.402 | 26 | 5 1 -3 |
| 42.48 | 2.128 | 38 | 4 2 -1 |
| 43.38 | 2.086 | 26 | 4 2 -3 |